For Dy4C5, a DFT-relaxed cell (GGA-PBE, the Materials Project) gives the theoretical powder X-ray diffraction pattern in this record (Cu Kα (λ = 1.5418 Å)).
Neutral-atom scattering factors, no anomalous dispersion.

Crystal structure
```
Dy4C5
1.0
6.5758 0.0000 0.0000
0.0000 11.9760 0.0000
0.0000 0.0000 3.6740
Dy C
8 10
Cartesian
0.7076 2.3462 0.0000 Dy
1.6098 11.4635 1.8370 Dy
1.6781 5.4755 1.8370 Dy
2.5803 8.3342 0.0000 Dy
3.9955 3.6418 0.0000 Dy
4.8977 6.5005 1.8370 Dy
4.9660 0.5125 1.8370 Dy
5.8682 9.6298 0.0000 Dy
0.0000 0.0000 0.0000 C
0.6176 7.8566 1.8370 C
0.9141 9.1535 1.8370 C
2.3738 3.1655 1.8370 C
2.6703 1.8686 1.8370 C
3.2879 5.9880 0.0000 C
3.9055 10.1074 1.8370 C
4.2020 8.8105 1.8370 C
5.6618 2.8225 1.8370 C
5.9582 4.1194 1.8370 C
```

Peak list (10 most intense, 15° ≤ 2θ ≤ 90°, in order of rising 2θ)
28.1°, I 276, hkl 2 1 0
28.5°, I 1000, hkl 0 2 1
31.0°, I 348, hkl 2 2 0
31.6°, I 523, hkl 1 2 1
32.9°, I 689, hkl 1 4 0
36.7°, I 347, hkl 2 0 1
37.5°, I 475, hkl 2 1 1
54.1°, I 380, hkl 1 6 1
57.9°, I 366, hkl 3 4 1
60.8°, I 237, hkl 1 4 2